# 1
The following is a simulated XRD peak list of TaZn2SnO6. It was derived from DFT lattice parameters and positions (GGA-PBE), using Cu Kα.
Neutral-atom scattering factors, no anomalous dispersion.

Principal peaks in the range 2θ from 10° to 90°, by angle:
d = 3.950 Å, rel. 20; d = 3.817 Å, rel. 9; d = 2.793 Å, rel. 52; d = 2.745 Å, rel. 100; d = 1.975 Å, rel. 24; d = 1.908 Å, rel. 11; d = 1.603 Å, rel. 49; d = 1.576 Å, rel. 23; d = 1.372 Å, rel. 12; d = 1.245 Å, rel. 9

Structure:
```
data_TaZn2SnO6
_chemical_formula_sum 'Ta2 Zn4 Sn2 O12'
_cell_length_a 5.491
_cell_length_b 7.899
_cell_length_c 5.496
_cell_angle_alpha 90.00
_cell_angle_beta 91.97
_cell_angle_gamma 90.00
_symmetry_space_group_name_H-M 'P 1 21/m 1'
_symmetry_Int_Tables_number 11
_symmetry_space_group_name_Hall '-P 2yb'
loop_
_atom_site_label
_atom_site_type_symbol
_atom_site_fract_x
_atom_site_fract_y
_atom_site_fract_z
Ta1 Ta 0.000 0.000 0.000
Zn1 Zn 0.020 0.250 0.489
Zn2 Zn 0.490 0.250 0.972
Sn1 Sn 0.500 0.000 0.500
O1 O 0.125 0.250 0.070
O2 O 0.144 0.565 0.321
O3 O 0.310 0.570 0.849
O4 O 0.381 0.250 0.596
```


# 2
The following is a simulated XRD peak list of Ta2Zn2SnO8. It was derived from DFT lattice parameters and positions (GGA-PBE), using Cu Kα.
Neutral-atom scattering factors, no anomalous dispersion.

Principal peaks in the range 2θ from 10° to 90°, by angle:
d = 4.556 Å, rel. 37; d = 3.523 Å, rel. 68; d = 3.460 Å, rel. 28; d = 3.441 Å, rel. 49; d = 2.937 Å, rel. 52; d = 2.877 Å, rel. 83; d = 2.716 Å, rel. 55; d = 2.627 Å, rel. 100; d = 1.869 Å, rel. 29; d = 1.844 Å, rel. 28

Structure:
```
data_Ta2Zn2SnO8
_chemical_formula_sum 'Ta8 Zn8 Sn4 O32'
_cell_length_a 21.000
_cell_length_b 6.004
_cell_length_c 5.434
_cell_angle_alpha 90.00
_cell_angle_beta 91.60
_cell_angle_gamma 90.00
_symmetry_space_group_name_H-M 'C 1 2/c 1'
_symmetry_Int_Tables_number 15
_symmetry_space_group_name_Hall '-C 2yc'
loop_
_atom_site_label
_atom_site_type_symbol
_atom_site_fract_x
_atom_site_fract_y
_atom_site_fract_z
Ta1 Ta 0.126 0.154 0.224
Zn1 Zn 0.220 0.349 0.723
Sn1 Sn 0.000 0.321 0.750
O1 O 0.068 0.373 0.125
O2 O 0.082 0.090 0.536
O3 O 0.181 0.112 0.921
O4 O 0.199 0.349 0.356
```


# 3
The following is a simulated XRD peak list of TcSnO3. It was derived from DFT lattice parameters and positions (GGA-PBE), using Cu Kα.
Neutral-atom scattering factors, no anomalous dispersion.

Principal peaks in the range 2θ from 10° to 90°, by angle:
d = 2.817 Å, rel. 100; d = 2.300 Å, rel. 4; d = 1.992 Å, rel. 31; d = 1.627 Å, rel. 40; d = 1.409 Å, rel. 19; d = 1.260 Å, rel. 18; d = 1.201 Å, rel. 1; d = 1.150 Å, rel. 7

Structure:
```
data_TcSnO3
_chemical_formula_sum 'Tc1 Sn1 O3'
_cell_length_a 3.984
_cell_length_b 3.984
_cell_length_c 3.984
_cell_angle_alpha 90.00
_cell_angle_beta 90.00
_cell_angle_gamma 90.00
_symmetry_space_group_name_H-M 'P m -3 m'
_symmetry_Int_Tables_number 221
_symmetry_space_group_name_Hall '-P 4 2 3'
loop_
_atom_site_label
_atom_site_type_symbol
_atom_site_fract_x
_atom_site_fract_y
_atom_site_fract_z
Tc1 Tc 0.000 0.000 0.000
Sn1 Sn 0.500 0.500 0.500
O1 O 0.000 0.000 0.500
```